No. 1
For HfNiPd4, a structure optimized by DFT (GGA-PBE) gives the theoretical XRD peak list in this record (CuKα).
No peak broadening, texture or thermal motion is included.

Structure:
Unit cell a=4.347 b=18.462 c=4.880 alpha=90.00 beta=90.00 gamma=90.00
Space group Cmc2_1 (No. 36)
Unique sites:
Hf 0.000 0.131 0.000 x4
Ni 0.000 0.397 0.774 x4
Pd 0.000 0.054 0.494 x4
Pd 0.000 0.262 0.698 x4
Pd 0.000 0.325 0.196 x4
Pd 0.000 0.467 0.320 x4

Largest 8 diffraction maxima, in order of rising 2θ, 5° ≤ 2θ ≤ 70°:
- 31.80°, intensity 26.6
- 34.46°, intensity 27.8
- 36.87°, intensity 100.0
- 38.15°, intensity 18.6
- 41.55°, intensity 62.6
- 42.78°, intensity 75.9
- 43.37°, intensity 18.0
- 44.25°, intensity 68.0

=====

No. 2
For CeGePt6, a structure optimized by DFT (GGA-PBE) gives the theoretical XRD peak list in this record (CuKα).
No peak broadening, texture or thermal motion is included.

Structure:
Unit cell a=4.091 b=4.091 c=8.099 alpha=90.00 beta=90.00 gamma=90.00
Space group P4/mmm (No. 123)
Unique sites:
Ce 0.000 0.000 0.000 x1
Ge 0.000 0.000 0.500 x1
Pt 0.000 0.500 0.261 x4
Pt 0.500 0.500 0.000 x1
Pt 0.500 0.500 0.500 x1

Largest 8 diffraction maxima, in order of rising 2θ, 5° ≤ 2θ ≤ 70°:
- 21.72°, intensity 3.1
- 21.95°, intensity 1.4
- 31.07°, intensity 2.6
- 38.23°, intensity 100.0
- 44.28°, intensity 33.6
- 44.76°, intensity 15.6
- 64.41°, intensity 11.1
- 64.79°, intensity 21.0